Structure and theoretical X-ray powder pattern of Pu3Zr (a DFT-relaxed cell (GGA-PBE, the Materials Project); Cu Ka).
Intensities are scaled so that the largest is 100.

Structural model:
```
data_Pu3Zr
_symmetry_space_group_name_H-M 'P 1'
_symmetry_Int_Tables_number 1
_symmetry_space_group_name_Hall 'P 1'
_cell_length_a 6.5334
_cell_length_b 6.5334
_cell_length_c 5.3930
_cell_angle_alpha 90.00
_cell_angle_beta 90.00
_cell_angle_gamma 120.00
loop_
_atom_site_label
_atom_site_fract_x
_atom_site_fract_y
_atom_site_fract_z
Pu1 0.1690 0.3381 0.2500
Pu2 0.1690 0.8310 0.2500
Pu3 0.3381 0.1690 0.7500
Pu4 0.6619 0.8310 0.2500
Pu5 0.8310 0.1690 0.7500
Pu6 0.8310 0.6619 0.7500
Zr1 0.3333 0.6667 0.7500
Zr2 0.6667 0.3333 0.2500
```

Most intense lines, 5 to 70 degrees two-theta, in order of rising 2θ:
hkl	two_theta	Rel. int.
1 0 1	22.78	10
1 1 0	27.30	4
2 0 0	31.63	23
0 0 2	33.22	27
2 0 1	35.84	100
2 0 2	46.53	16
2 2 0	56.33	19
2 0 3	61.07	22
2 2 2	66.98	22
4 0 1	68.59	16